Structure and computed PXRD pattern of Tb7Nd2Y2 (DFT lattice parameters and positions (GGA-PBE); a wavelength of 1.5418 Å).
Intensities are scaled so that the largest is 100.

Structure:
a b c (Å): 6.5436 6.5436 8.7797
angles (deg): 98.34 98.34 93.51
Sites, in units of the cell vectors:
Tb 0.0000 0.0000 0.0000
Tb 0.0822 0.4437 0.7947
Tb 0.3933 0.3933 0.1439
Tb 0.4437 0.0822 0.7947
Tb 0.5563 0.9178 0.2053
Tb 0.6067 0.6067 0.8561
Tb 0.9178 0.5563 0.2053
Nd 0.3226 0.6774 0.5000
Nd 0.6774 0.3226 0.5000
Y 0.1482 0.1482 0.4043
Y 0.8518 0.8518 0.5957

Largest 10 diffraction maxima, most intense first, 10° ≤ 2θ ≤ 90°:
2θ = 32.17°, I = 100.0; 2θ = 32.44°, I = 74.6; 2θ = 31.62°, I = 61.9; 2θ = 32.01°, I = 44.7; 2θ = 31.10°, I = 33.0; 2θ = 35.35°, I = 32.9; 2θ = 57.48°, I = 26.0; 2θ = 54.43°, I = 23.5; 2θ = 31.27°, I = 21.4; 2θ = 45.59°, I = 20.2